No. 1
MgMn4Zn2O8: simulated X-ray diffraction stick pattern (CuKα), based on a cell relaxed with GGA+U.
Intensities are scaled so that the largest is 100.

Top 10 peaks for 2θ = 10–80°, by angle:
19.20°, I = 32.3, (0 1 -1); 29.95°, I = 50.2, (-2 1 1); 32.38°, I = 34.1, (0 1 -2); 32.70°, I = 49.6, (1 -2 1); 33.88°, I = 29.7, (2 0 -1); 34.62°, I = 100.0, (0 2 0); 38.97°, I = 53.1, (0 2 -2); 40.45°, I = 53.3, (2 0 0); 43.21°, I = 59.5, (-2 2 2); 59.57°, I = 30.5, (2 -4 0)

```
data_MgMn4Zn2O8
_symmetry_space_group_name_H-M 'P 1'
_symmetry_Int_Tables_number 1
_cell_length_a 5.9793
_cell_length_b 6.2407
_cell_length_c 6.2411
_cell_angle_alpha 95.59
_cell_angle_beta 116.45
_cell_angle_gamma 116.70
loop_
_symmetry_equiv_pos_as_xyz
'x,y,z'
loop_
_atom_site_label
_atom_site_type_symbol
_atom_site_fract_x
_atom_site_fract_y
_atom_site_fract_z
Mg1 Mg 0.0000 0.0000 0.0000
Mn1 Mn 0.0112 0.9744 0.5177
Mn2 Mn 0.2457 0.5655 0.4369
Mn3 Mn 0.5001 0.4830 0.0326
Mn4 Mn 0.5054 0.9936 0.0020
Zn1 Zn 0.5765 0.0901 0.4987
Zn2 Zn 0.9397 0.5047 0.9088
O1 O 0.0001 0.6897 0.2463
O2 O 0.0110 0.2392 0.7948
O3 O 0.0688 0.7862 0.7900
O4 O 0.4627 0.2024 0.2117
O5 O 0.4984 0.2168 0.7519
O6 O 0.5088 0.7380 0.3300
O7 O 0.5319 0.7389 0.8124
O8 O 0.9547 0.1875 0.2582
```


No. 2
CuBiW2O8: simulated X-ray diffraction stick pattern (CuKα), based on a cell relaxed with GGA+U.
Intensities are scaled so that the largest is 100.

Top 10 peaks for 2θ = 10–80°, by angle:
18.22°, I = 68.9, (0 1 -1); 26.30°, I = 100.0, (-1 1 1); 26.59°, I = 91.6, (1 0 1); 26.71°, I = 40.7, (0 1 1); 29.17°, I = 47.2, (0 1 -2); 29.65°, I = 76.4, (1 1 -1); 30.56°, I = 72.7, (1 -2 1); 34.28°, I = 39.0, (0 2 0); 34.77°, I = 50.0, (2 -1 0); 46.78°, I = 30.3, (0 0 3)

```
data_CuBiW2O8
_symmetry_space_group_name_H-M 'P -1'
_symmetry_Int_Tables_number 2
_cell_length_a 5.1637
_cell_length_b 6.1193
_cell_length_c 6.2567
_cell_angle_alpha 108.69
_cell_angle_beta 91.78
_cell_angle_gamma 113.44
loop_
_symmetry_equiv_pos_as_xyz
'x,y,z'
'-x,-y,-z'
loop_
_atom_site_label
_atom_site_type_symbol
_atom_site_fract_x
_atom_site_fract_y
_atom_site_fract_z
Cu1 Cu 0.0000 0.0000 0.0000
Bi1 Bi 0.5000 0.0000 0.5000
W1 W 0.2563 0.5188 0.8415
O1 O 0.0091 0.7328 0.4248
O2 O 0.0301 0.6996 0.9739
O3 O 0.4757 0.3138 0.8407
O4 O 0.4956 0.7515 0.7314
```


No. 3
Fe3O4F2: simulated X-ray diffraction stick pattern (CuKα), based on a cell relaxed with GGA+U.
Intensities are scaled so that the largest is 100.

Top 10 peaks for 2θ = 10–80°, by angle:
25.45°, I = 100.0, (2 0 0); 27.94°, I = 91.0, (0 2 0); 35.22°, I = 48.6, (1 1 -3); 35.45°, I = 46.1, (1 1 3); 51.31°, I = 29.9, (3 1 -3); 51.81°, I = 29.5, (3 1 3); 54.28°, I = 25.7, (1 3 -3); 54.44°, I = 24.7, (1 3 3); 66.91°, I = 18.9, (3 3 -3); 67.35°, I = 24.3, (3 3 3)

```
data_Fe3O4F2
_symmetry_space_group_name_H-M 'C 1 2/m 1'
_symmetry_Int_Tables_number 12
_cell_length_a 7.0010
_cell_length_b 6.3878
_cell_length_c 9.0420
_cell_angle_alpha 90.00
_cell_angle_beta 90.58
_cell_angle_gamma 90.00
loop_
_symmetry_equiv_pos_as_xyz
'x,y,z'
'-x,-y,-z'
'-x,y,-z'
'x,-y,z'
'x+1/2,y+1/2,z'
'-x+1/2,-y+1/2,-z'
'-x+1/2,y+1/2,-z'
'x+1/2,-y+1/2,z'
loop_
_atom_site_label
_atom_site_type_symbol
_atom_site_fract_x
_atom_site_fract_y
_atom_site_fract_z
Fe1 Fe 0.0000 0.0000 0.0000
Fe2 Fe 0.0000 0.5000 0.5000
Fe3 Fe 0.0073 0.0000 0.3270
Fe4 Fe 0.0357 0.5000 0.8339
O1 O 0.0000 0.3035 0.0000
O2 O 0.0068 0.3067 0.6601
O3 O 0.1804 0.0000 0.1627
F1 F 0.1901 0.0000 0.5021
F2 F 0.1974 0.0000 0.8307
```


No. 4
Li2Fe2OF6: simulated X-ray diffraction stick pattern (CuKα), based on a cell relaxed with GGA+U.
Intensities are scaled so that the largest is 100.

Top 10 peaks for 2θ = 10–80°, by angle:
13.99°, I = 45.0, (0 0 1); 18.59°, I = 100.0, (1 1 1); 20.66°, I = 19.7, (1 1 0); 23.44°, I = 23.7, (0 1 -1); 25.75°, I = 30.8, (1 1 2); 26.31°, I = 22.6, (-1 1 1); 31.39°, I = 15.9, (1 2 0); 39.27°, I = 48.2, (2 -1 1); 40.63°, I = 38.8, (1 2 -1); 41.14°, I = 48.7, (0 2 3)

```
data_Li2Fe2OF6
_symmetry_space_group_name_H-M 'P -1'
_symmetry_Int_Tables_number 2
_cell_length_a 5.6935
_cell_length_b 7.0575
_cell_length_c 7.2900
_cell_angle_alpha 64.26
_cell_angle_beta 70.58
_cell_angle_gamma 76.74
loop_
_symmetry_equiv_pos_as_xyz
'x,y,z'
'-x,-y,-z'
loop_
_atom_site_label
_atom_site_type_symbol
_atom_site_fract_x
_atom_site_fract_y
_atom_site_fract_z
Li1 Li 0.1770 0.1118 0.2719
Li2 Li 0.2876 0.6326 0.5831
Fe1 Fe 0.1770 0.0836 0.7736
Fe2 Fe 0.2595 0.6328 0.0855
O1 O 0.0133 0.1747 0.0151
F1 F 0.0807 0.3929 0.2681
F2 F 0.1661 0.7624 0.3004
F3 F 0.2084 0.9616 0.5683
F4 F 0.3592 0.3251 0.5932
F5 F 0.4071 0.5204 0.8556
F6 F 0.4642 0.8894 0.8776
```


No. 5
MgMn4O7F: simulated X-ray diffraction stick pattern (CuKα), based on a cell relaxed with GGA+U.
Intensities are scaled so that the largest is 100.

Top 10 peaks for 2θ = 10–80°, by angle:
14.68°, I = 46.5, (0 0 1); 21.00°, I = 50.4, (0 1 1); 25.76°, I = 100.0, (1 1 1); 29.83°, I = 53.1, (-1 1 1); 30.31°, I = 80.7, (1 1 -1); 32.69°, I = 42.1, (1 -1 1); 36.70°, I = 39.4, (2 0 0); 38.53°, I = 74.7, (-1 1 2); 43.05°, I = 47.1, (1 -1 2); 48.82°, I = 52.8, (2 2 0)

```
data_MgMn4O7F
_symmetry_space_group_name_H-M 'P 1'
_symmetry_Int_Tables_number 1
_cell_length_a 4.9560
_cell_length_b 5.0503
_cell_length_c 6.1660
_cell_angle_alpha 78.28
_cell_angle_beta 86.30
_cell_angle_gamma 81.48
loop_
_symmetry_equiv_pos_as_xyz
'x,y,z'
loop_
_atom_site_label
_atom_site_type_symbol
_atom_site_fract_x
_atom_site_fract_y
_atom_site_fract_z
Mg1 Mg 0.0000 0.0000 0.0000
Mn1 Mn 0.4642 0.5131 0.7971
Mn2 Mn 0.4718 0.9635 0.2692
Mn3 Mn 0.9519 0.9367 0.5319
Mn4 Mn 0.9825 0.4643 0.2509
O1 O 0.1356 0.7463 0.7911
O2 O 0.1780 0.7546 0.2802
O3 O 0.2225 0.1840 0.4524
O4 O 0.2941 0.2398 0.0228
O5 O 0.6424 0.7302 0.5400
O6 O 0.7019 0.7373 0.0896
O7 O 0.7726 0.1660 0.2668
F1 F 0.7750 0.2341 0.7668
```


No. 6
Co3O2F4: simulated X-ray diffraction stick pattern (CuKα), based on a cell relaxed with GGA+U.
Intensities are scaled so that the largest is 100.

Top 10 peaks for 2θ = 10–80°, by angle:
25.95°, I = 90.7, (2 0 -2); 27.82°, I = 83.3, (0 2 0); 34.91°, I = 100.0, (3 1 0); 51.71°, I = 30.3, (5 1 -2); 51.89°, I = 30.4, (1 1 -4); 53.37°, I = 19.3, (4 0 -4); 53.89°, I = 23.5, (3 3 0); 53.95°, I = 23.2, (1 3 2); 67.14°, I = 18.1, (5 3 -2); 67.29°, I = 18.1, (1 3 -4)

```
data_Co3O2F4
_symmetry_space_group_name_H-M 'C 1 2 1'
_symmetry_Int_Tables_number 5
_cell_length_a 9.2325
_cell_length_b 6.4140
_cell_length_c 7.5128
_cell_angle_alpha 90.00
_cell_angle_beta 114.10
_cell_angle_gamma 90.00
loop_
_symmetry_equiv_pos_as_xyz
'x,y,z'
'-x,y,-z'
'x+1/2,y+1/2,z'
'-x+1/2,y+1/2,-z'
loop_
_atom_site_label
_atom_site_type_symbol
_atom_site_fract_x
_atom_site_fract_y
_atom_site_fract_z
Co1 Co 0.0000 0.0000 0.0000
Co2 Co 0.0000 0.0070 0.5000
Co3 Co 0.1599 0.5037 0.1610
Co4 Co 0.1670 0.4691 0.6640
O1 O 0.0000 0.3031 0.0000
O2 O 0.0000 0.7115 0.0000
O3 O 0.1759 0.1660 0.6746
F1 F 0.0652 0.4832 0.3677
F2 F 0.0927 0.9899 0.3049
F3 F 0.1689 0.7827 0.6654
F4 F 0.2323 0.9949 0.0379
```


No. 7
Ca2YFeO5: simulated X-ray diffraction stick pattern (CuKα), based on a cell relaxed with GGA+U.
Intensities are scaled so that the largest is 100.

Top 10 peaks for 2θ = 10–80°, by angle:
22.34°, I = 43.0, (4 0 0); 25.04°, I = 17.0, (2 1 1); 31.33°, I = 38.0, (0 2 0); 31.80°, I = 100.0, (4 1 1); 32.35°, I = 41.3, (0 0 2); 45.54°, I = 16.6, (8 0 0); 45.66°, I = 40.9, (0 2 2); 51.33°, I = 21.4, (8 1 1); 56.07°, I = 18.2, (4 3 1); 57.35°, I = 20.2, (4 1 3)

```
data_Ca2YFeO5
_symmetry_space_group_name_H-M 'I m a 2'
_symmetry_Int_Tables_number 46
_cell_length_a 15.9360
_cell_length_b 5.7102
_cell_length_c 5.5352
_cell_angle_alpha 90.00
_cell_angle_beta 90.00
_cell_angle_gamma 90.00
loop_
_symmetry_equiv_pos_as_xyz
'x,y,z'
'-x,-y,z'
'-x+1/2,y,z'
'x+1/2,-y,z'
'x+1/2,y+1/2,z+1/2'
'-x+1/2,-y+1/2,z+1/2'
'-x,y+1/2,z+1/2'
'x,-y+1/2,z+1/2'
loop_
_atom_site_label
_atom_site_type_symbol
_atom_site_fract_x
_atom_site_fract_y
_atom_site_fract_z
Ca1 Ca 0.0987 0.0291 0.0000
Y1 Y 0.2500 0.5451 0.0336
Fe1 Fe 0.0000 0.0000 0.4769
O1 O 0.0179 0.7441 0.2256
O2 O 0.1295 0.0809 0.4342
O3 O 0.2500 0.5838 0.4308
```


No. 8
MgNbCrO4: simulated X-ray diffraction stick pattern (CuKα), based on a cell relaxed with GGA+U.
Intensities are scaled so that the largest is 100.

Top 10 peaks for 2θ = 10–80°, by angle:
18.24°, I = 30.9, (0 0 2); 22.82°, I = 63.5, (0 1 1); 23.62°, I = 100.0, (1 0 1); 34.79°, I = 38.0, (0 1 3); 35.63°, I = 61.3, (1 1 2); 36.97°, I = 45.6, (0 0 4); 42.51°, I = 46.2, (0 2 0); 44.34°, I = 40.4, (2 0 0); 52.07°, I = 31.1, (1 0 5); 57.57°, I = 39.2, (0 2 4)

```
data_MgNbCrO4
_symmetry_space_group_name_H-M 'I m m 2'
_symmetry_Int_Tables_number 44
_cell_length_a 4.0861
_cell_length_b 4.2530
_cell_length_c 9.7265
_cell_angle_alpha 90.00
_cell_angle_beta 90.00
_cell_angle_gamma 90.00
loop_
_symmetry_equiv_pos_as_xyz
'x,y,z'
'-x,-y,z'
'-x,y,z'
'x,-y,z'
'x+1/2,y+1/2,z+1/2'
'-x+1/2,-y+1/2,z+1/2'
'-x+1/2,y+1/2,z+1/2'
'x+1/2,-y+1/2,z+1/2'
loop_
_atom_site_label
_atom_site_type_symbol
_atom_site_fract_x
_atom_site_fract_y
_atom_site_fract_z
Mg1 Mg 0.0000 0.0000 0.0000
Nb1 Nb 0.0000 0.0000 0.4260
Cr1 Cr 0.0000 0.5000 0.1985
O1 O 0.0000 0.0000 0.2080
O2 O 0.0000 0.0000 0.6311
O3 O 0.0000 0.5000 0.4310
O4 O 0.0000 0.5000 0.9391
```


No. 9
LiFeAs2O7: simulated X-ray diffraction stick pattern (CuKα), based on a cell relaxed with GGA+U.
Intensities are scaled so that the largest is 100.

Top 10 peaks for 2θ = 10–80°, by angle:
17.10°, I = 25.0, (1 1 0); 21.11°, I = 66.6, (0 2 0); 27.98°, I = 88.1, (1 1 1); 28.51°, I = 100.0, (0 2 1); 29.14°, I = 81.7, (2 0 -1); 34.59°, I = 36.1, (2 2 0); 36.27°, I = 24.0, (2 2 -1); 47.07°, I = 23.2, (2 2 -2); 47.36°, I = 22.0, (0 4 1); 55.39°, I = 28.7, (1 3 2)

```
data_LiFeAs2O7
_symmetry_space_group_name_H-M 'C 1 2 1'
_symmetry_Int_Tables_number 5
_cell_length_a 6.7858
_cell_length_b 8.4157
_cell_length_c 4.8294
_cell_angle_alpha 90.00
_cell_angle_beta 103.96
_cell_angle_gamma 90.00
loop_
_symmetry_equiv_pos_as_xyz
'x,y,z'
'-x,y,-z'
'x+1/2,y+1/2,z'
'-x+1/2,y+1/2,-z'
loop_
_atom_site_label
_atom_site_type_symbol
_atom_site_fract_x
_atom_site_fract_y
_atom_site_fract_z
Li1 Li 0.0000 0.0000 0.0000
Fe1 Fe 0.0000 0.6210 0.0000
As1 As 0.2180 0.2853 0.4086
O1 O 0.0000 0.2026 0.5000
O2 O 0.1058 0.8049 0.2727
O3 O 0.1702 0.4663 0.2552
O4 O 0.2492 0.6402 0.8236
```


No. 10
LiMnF4: simulated X-ray diffraction stick pattern (CuKα), based on a cell relaxed with GGA+U.
Intensities are scaled so that the largest is 100.

Top 10 peaks for 2θ = 10–80°, by angle:
15.95°, I = 51.2, (0 1 0); 19.20°, I = 100.0, (1 0 0); 23.16°, I = 87.2, (0 1 1); 25.06°, I = 55.8, (1 1 0); 29.26°, I = 58.4, (1 1 -1); 31.22°, I = 38.8, (1 1 1); 37.50°, I = 88.4, (1 0 -2); 42.30°, I = 94.6, (1 2 1); 53.25°, I = 44.4, (2 2 -1); 62.13°, I = 33.9, (0 2 3)

```
data_LiMnF4
_symmetry_space_group_name_H-M 'P 1 2/c 1'
_symmetry_Int_Tables_number 13
_cell_length_a 4.6408
_cell_length_b 5.5549
_cell_length_c 5.3378
_cell_angle_alpha 90.00
_cell_angle_beta 95.11
_cell_angle_gamma 90.00
loop_
_symmetry_equiv_pos_as_xyz
'x,y,z'
'-x,-y,-z'
'-x,y,-z+1/2'
'x,-y,z+1/2'
loop_
_atom_site_label
_atom_site_type_symbol
_atom_site_fract_x
_atom_site_fract_y
_atom_site_fract_z
Li1 Li 0.0000 0.1454 0.2500
Mn1 Mn 0.5000 0.3453 0.7500
F1 F 0.2444 0.1191 0.5984
F2 F 0.2727 0.4021 0.0887
```


No. 11
BaYMgMnCuO5: simulated X-ray diffraction stick pattern (CuKα), based on a cell relaxed with GGA+U.
Intensities are scaled so that the largest is 100.

Top 10 peaks for 2θ = 10–80°, by angle:
24.63°, I = 39.7, (0 1 1); 29.40°, I = 100.0, (0 1 2); 30.89°, I = 86.9, (1 0 2); 31.88°, I = 48.1, (1 1 0); 32.22°, I = 89.5, (1 1 -1); 32.60°, I = 60.4, (1 0 -3); 36.08°, I = 99.9, (0 1 3); 44.25°, I = 43.4, (2 0 -1); 46.67°, I = 59.4, (0 2 0); 57.03°, I = 44.1, (1 2 2)

```
data_BaYMgMnCuO5
_symmetry_space_group_name_H-M 'P 1 m 1'
_symmetry_Int_Tables_number 6
_cell_length_a 4.0997
_cell_length_b 3.8943
_cell_length_c 9.8329
_cell_angle_alpha 90.00
_cell_angle_beta 99.01
_cell_angle_gamma 90.00
loop_
_symmetry_equiv_pos_as_xyz
'x,y,z'
'x,-y,z'
loop_
_atom_site_label
_atom_site_type_symbol
_atom_site_fract_x
_atom_site_fract_y
_atom_site_fract_z
Ba1 Ba 0.0000 0.0000 0.0000
Y1 Y 0.7297 0.0000 0.6315
Mg1 Mg 0.5792 0.5000 0.2498
Mn1 Mn 0.1559 0.5000 0.4536
Cu1 Cu 0.4018 0.5000 0.8202
O1 O 0.0646 0.5000 0.2118
O2 O 0.1928 0.0000 0.5292
O3 O 0.4569 0.0000 0.8424
O4 O 0.6545 0.5000 0.4503
O5 O 0.8808 0.5000 0.7473
```


No. 12
CaMnBiO5: simulated X-ray diffraction stick pattern (CuKα), based on a cell relaxed with GGA+U.
Intensities are scaled so that the largest is 100.

Top 10 peaks for 2θ = 10–80°, by angle:
13.72°, I = 29.6, (0 1 1); 16.12°, I = 94.0, (1 0 0); 18.98°, I = 41.5, (0 2 1); 22.24°, I = 31.8, (1 2 -1); 24.26°, I = 27.5, (0 1 2); 24.37°, I = 70.8, (1 1 -2); 27.50°, I = 100.0, (1 2 1); 31.50°, I = 31.6, (2 1 -1); 32.62°, I = 75.0, (1 3 -2); 34.66°, I = 29.9, (1 4 0)

```
data_CaMnBiO5
_symmetry_space_group_name_H-M 'P 1 21/c 1'
_symmetry_Int_Tables_number 14
_cell_length_a 5.8547
_cell_length_b 11.7458
_cell_length_c 8.2255
_cell_angle_alpha 90.00
_cell_angle_beta 110.14
_cell_angle_gamma 90.00
loop_
_symmetry_equiv_pos_as_xyz
'x,y,z'
'-x,-y,-z'
'-x,y+1/2,-z+1/2'
'x,-y+1/2,z+1/2'
loop_
_atom_site_label
_atom_site_type_symbol
_atom_site_fract_x
_atom_site_fract_y
_atom_site_fract_z
Ca1 Ca 0.0525 0.0868 0.1916
Mn1 Mn 0.3259 0.6467 0.0276
Bi1 Bi 0.4682 0.0971 0.8362
O1 O 0.1986 0.7182 0.5031
O2 O 0.2383 0.5637 0.1674
O3 O 0.2701 0.0260 0.0114
O4 O 0.2702 0.5794 0.8330
O5 O 0.3753 0.1856 0.3823
```